The following is a simulated PXRD pattern of Li3Nb6O11. It was derived from a structure optimized by DFT (GGA-PBE), using Cu Kα (λ = 1.5418 Å).

Principal peaks in the range 2θ = 10–80°, in order of rising 2θ:
hkl  d [Å]  Rel. int.
0 0 1  7.581  99
1 0 0  5.244  23
0 1 1  4.313  38
0 0 2  3.790  24
1 0 2  3.072  22
2 0 0  2.622  26
2 0 1  2.478  53
0 2 2  2.156  100
2 0 4  1.536  33
2 2 0  1.514  27

Cell and atoms:
```
Li3Nb6O11
1.0
6.055 0.000 0.000
-3.028 5.244 0.000
0.000 0.000 7.581
Li Nb O
3 6 11
direct
0.000 0.000 0.000
0.333 0.667 0.081
0.667 0.333 0.919
0.159 0.318 0.664
0.159 0.841 0.664
0.318 0.159 0.336
0.682 0.841 0.664
0.841 0.159 0.336
0.841 0.682 0.336
0.000 0.500 0.500
0.159 0.317 0.186
0.159 0.841 0.186
0.317 0.159 0.814
0.333 0.667 0.818
0.500 0.000 0.500
0.500 0.500 0.500
0.667 0.333 0.182
0.683 0.841 0.186
0.841 0.159 0.814
0.841 0.683 0.814
```